No. 1
Structure and theoretical powder XRD pattern of Cd2P6O17 (the GGA-PBE geometry in Alexandria; Cu Kα (λ = 1.5418 Å)).
Peak positions follow from Bragg's law for the DFT cell and can differ from measured ones.

Cell and atoms:
```
data_Cd2P6O17
_cell_length_a 5.6191
_cell_length_b 18.4001
_cell_length_c 7.7044
_cell_angle_alpha 90.00
_cell_angle_beta 111.21
_cell_angle_gamma 90.00
_symmetry_space_group_name_H-M 'P 1 21/c 1'
_symmetry_Int_Tables_number 14
loop_
_symmetry_equiv_pos_as_xyz
'x,y,z'
'-x,-y,-z'
'-x,y+1/2,-z+1/2'
'x,-y+1/2,z+1/2'
loop_
_atom_site_label
_atom_site_type_symbol
_atom_site_fract_x
_atom_site_fract_y
_atom_site_fract_z
Cd1 Cd 0.0958 0.0738 0.3576
P1 P 0.2634 0.6678 0.5803
P2 P 0.2941 0.6787 0.9770
P3 P 0.4910 0.0297 0.8046
O1 O 0.0488 0.6379 0.4222
O2 O 0.0694 0.6654 0.0318
O3 O 0.1809 0.6872 0.7497
O4 O 0.2322 0.0124 0.6606
O5 O 0.2701 0.5102 0.7266
O6 O 0.3950 0.7380 0.5370
O7 O 0.4777 0.1314 0.4621
O8 O 0.4911 0.1171 0.8430
O9 O 0.5000 0.0000 0.0000
```

Principal peaks in the range 10 to 90 degrees two-theta, by angle:
d_spacing  intensity
6.691  41
4.545  100
3.982  52
3.581  55
3.454  74
3.099  36


No. 2
Structure and theoretical powder XRD pattern of CdP6Pb9O26 (the GGA-PBE geometry in Alexandria; Cu Kα (λ = 1.5418 Å)).
Peak positions follow from Bragg's law for the DFT cell and can differ from measured ones.

Cell and atoms:
```
data_CdP6Pb9O26
_cell_length_a 7.4477
_cell_length_b 9.8573
_cell_length_c 9.8717
_cell_angle_alpha 119.78
_cell_angle_beta 90.16
_cell_angle_gamma 90.12
_symmetry_space_group_name_H-M 'P 1'
_symmetry_Int_Tables_number 1
loop_
_symmetry_equiv_pos_as_xyz
'x,y,z'
loop_
_atom_site_label
_atom_site_type_symbol
_atom_site_fract_x
_atom_site_fract_y
_atom_site_fract_z
Cd1 Cd 0.0000 0.0000 0.0000
P1 P 0.2594 0.0401 0.3025
P2 P 0.2642 0.7024 0.7379
P3 P 0.2710 0.2694 0.9580
P4 P 0.7797 0.0707 0.7251
P5 P 0.7914 0.3010 0.3501
P6 P 0.7915 0.6427 0.9353
Pb1 Pb 0.0389 0.3441 0.6545
Pb2 Pb 0.2767 0.9022 0.5621
Pb3 Pb 0.2971 0.4475 0.3375
Pb4 Pb 0.2979 0.6689 0.1112
Pb5 Pb 0.4901 0.9987 0.9937
Pb6 Pb 0.5236 0.3312 0.6653
Pb7 Pb 0.7872 0.6628 0.5602
Pb8 Pb 0.7869 0.9007 0.3261
Pb9 Pb 0.8190 0.4235 0.0789
O1 O 0.1149 0.9200 0.2930
O2 O 0.1195 0.7209 0.6339
O3 O 0.1232 0.3733 0.0804
O4 O 0.2064 0.1117 0.1990
O5 O 0.2149 0.8017 0.9140
O6 O 0.2240 0.0935 0.8905
O7 O 0.2826 0.3133 0.8277
O8 O 0.2834 0.5260 0.6887
O9 O 0.2837 0.1726 0.4756
O10 O 0.3414 0.6752 0.3415
O11 O 0.4380 0.9464 0.2394
O12 O 0.4450 0.7680 0.7135
O13 O 0.4491 0.3068 0.0539
O14 O 0.5961 0.0531 0.6447
O15 O 0.6182 0.4014 0.4146
O16 O 0.6239 0.5773 0.9805
O17 O 0.7838 0.9948 0.8295
O18 O 0.7934 0.8251 0.0243
O19 O 0.7936 0.1733 0.3974
O20 O 0.7948 0.5728 0.7553
O21 O 0.8036 0.2279 0.1673
O22 O 0.8061 0.6164 0.2944
O23 O 0.8155 0.2560 0.8310
O24 O 0.9284 0.0087 0.5998
O25 O 0.9534 0.4141 0.4327
O26 O 0.9569 0.5759 0.9827
```

Principal peaks in the range 10 to 90 degrees two-theta, by angle:
d_spacing  intensity
4.277  32
3.413  59
3.235  33
2.977  61
2.966  100
2.959  30


No. 3
Structure and theoretical powder XRD pattern of RbCdP2O6 (the GGA-PBE geometry in Alexandria; Cu Kα (λ = 1.5418 Å)).
Peak positions follow from Bragg's law for the DFT cell and can differ from measured ones.

Cell and atoms:
```
data_RbCdP2O6
_cell_length_a 9.6940
_cell_length_b 10.7423
_cell_length_c 6.8192
_cell_angle_alpha 90.00
_cell_angle_beta 104.53
_cell_angle_gamma 90.00
_symmetry_space_group_name_H-M 'C 1 2/c 1'
_symmetry_Int_Tables_number 15
loop_
_symmetry_equiv_pos_as_xyz
'x,y,z'
'-x,-y,-z'
'-x,y,-z+1/2'
'x,-y,z+1/2'
'x+1/2,y+1/2,z'
'-x+1/2,-y+1/2,-z'
'-x+1/2,y+1/2,-z+1/2'
'x+1/2,-y+1/2,z+1/2'
loop_
_atom_site_label
_atom_site_type_symbol
_atom_site_fract_x
_atom_site_fract_y
_atom_site_fract_z
Rb1 Rb 0.0000 0.1035 0.2500
Cd1 Cd 0.0000 0.3172 0.7500
P1 P 0.2049 0.4035 0.2293
O1 O 0.1025 0.3160 0.0889
O2 O 0.1416 0.1406 0.6915
O3 O 0.1815 0.4567 0.7012
```

Principal peaks in the range 10 to 90 degrees two-theta, by angle:
d_spacing  intensity
4.692  28
3.393  100
3.301  71
2.896  35
2.095  21
2.050  24


No. 4
Structure and theoretical powder XRD pattern of CdTeP2O8 (the GGA-PBE geometry in Alexandria; Cu Kα (λ = 1.5418 Å)).
Peak positions follow from Bragg's law for the DFT cell and can differ from measured ones.

Cell and atoms:
```
data_CdTeP2O8
_cell_length_a 4.7945
_cell_length_b 4.7945
_cell_length_c 22.6289
_cell_angle_alpha 90.00
_cell_angle_beta 90.00
_cell_angle_gamma 120.00
_symmetry_space_group_name_H-M 'R 3 2'
_symmetry_Int_Tables_number 155
_symmetry_space_group_name_Hall 'R 3 2"'
loop_
_atom_site_label
_atom_site_type_symbol
_atom_site_fract_x
_atom_site_fract_y
_atom_site_fract_z
Cd1 Cd 0.0000 0.0000 0.0000
Te1 Te 0.0000 0.0000 0.5000
P1 P 0.0000 0.0000 0.2527
O1 O 0.0000 0.0000 0.3204
O2 O 0.0002 0.3071 0.2295
```

Principal peaks in the range 10 to 90 degrees two-theta, by angle:
d_spacing  intensity
3.898  31
3.347  100
2.397  38
2.338  30
2.023  31
1.482  18


No. 5
Structure and theoretical powder XRD pattern of TiCdP2O8 (the GGA-PBE geometry in Alexandria; Cu Kα (λ = 1.5418 Å)).
Peak positions follow from Bragg's law for the DFT cell and can differ from measured ones.

Cell and atoms:
```
data_TiCdP2O8
_cell_length_a 8.2067
_cell_length_b 5.3043
_cell_length_c 7.0432
_cell_angle_alpha 90.00
_cell_angle_beta 93.02
_cell_angle_gamma 90.00
_symmetry_space_group_name_H-M 'C 1 2/m 1'
_symmetry_Int_Tables_number 12
loop_
_symmetry_equiv_pos_as_xyz
'x,y,z'
'-x,-y,-z'
'-x,y,-z'
'x,-y,z'
'x+1/2,y+1/2,z'
'-x+1/2,-y+1/2,-z'
'-x+1/2,y+1/2,-z'
'x+1/2,-y+1/2,z'
loop_
_atom_site_label
_atom_site_type_symbol
_atom_site_fract_x
_atom_site_fract_y
_atom_site_fract_z
Ti1 Ti 0.0000 0.0000 0.0000
Cd1 Cd 0.0000 0.0000 0.5000
P1 P 0.1573 0.5000 0.2271
O1 O 0.0461 0.2604 0.2023
O2 O 0.2214 0.0000 0.9340
O3 O 0.2409 0.5000 0.4244
```

Principal peaks in the range 10 to 90 degrees two-theta, by angle:
d_spacing  intensity
4.453  100
4.098  42
3.812  96
2.799  68
2.722  80
2.429  55


No. 6
Structure and theoretical powder XRD pattern of TlCd2PO4 (the GGA-PBE geometry in Alexandria; Cu Kα (λ = 1.5418 Å)).
Peak positions follow from Bragg's law for the DFT cell and can differ from measured ones.

Cell and atoms:
```
data_TlCd2PO4
_cell_length_a 8.5643
_cell_length_b 8.6373
_cell_length_c 7.2595
_cell_angle_alpha 90.00
_cell_angle_beta 90.00
_cell_angle_gamma 90.00
_symmetry_space_group_name_H-M 'F m m 2'
_symmetry_Int_Tables_number 42
_symmetry_space_group_name_Hall 'F 2 -2'
loop_
_atom_site_label
_atom_site_type_symbol
_atom_site_fract_x
_atom_site_fract_y
_atom_site_fract_z
Tl1 Tl 0.0000 0.0000 0.0000
Cd1 Cd 0.2500 0.2500 0.2501
P1 P 0.0000 0.0000 0.5001
O1 O 0.0000 0.1490 0.3755
O2 O 0.1501 0.0000 0.6249
```

Principal peaks in the range 10 to 90 degrees two-theta, by angle:
d_spacing  intensity
4.662  52
3.041  100
2.779  87
2.769  86
1.703  39
1.696  39